The following is a simulated X-ray diffraction stick pattern of Dy6TlTe. It was derived from DFT lattice parameters and positions (PBE), using Cu Kα.
Kinematic intensities with the Lorentz-polarization factor, no thermal factor.

a b c (Å): 6.146 6.150 6.150
angles (deg): 89.95 89.88 89.96
Space group P-1 (No. 2)
One atom of each set of equivalent atoms:
Dy  0.001  0.246  0.001
Dy  0.253  0.000  0.500
Dy  0.499  0.501  0.246
Tl  0.500  0.000  0.000
Te  0.000  0.500  0.500

Principal peaks in the range 2θ from 10° to 80°, by angle:
| Position (°2θ) | I (rel.) |
| --- | --- |
| 29.05 | 33.5 |
| 32.56 | 100.0 |
| 35.77 | 77.3 |
| 53.74 | 20.1 |
| 55.94 | 30.7 |
| 56.00 | 12.3 |
| 60.20 | 17.1 |
| 68.19 | 8.9 |
| 70.10 | 12.1 |
| 70.18 | 9.8 |

***

The following is a simulated X-ray diffraction stick pattern of Na2HoAsSe4. It was derived from DFT lattice parameters and positions (PBE), using Cu Kα.
Kinematic intensities with the Lorentz-polarization factor, no thermal factor.

a b c (Å): 8.150 8.299 11.646
angles (deg): 90.00 90.00 90.00
Space group Imma (No. 74)
One atom of each set of equivalent atoms:
Na  0.000  0.000  0.000
Na  0.250  0.250  0.250
Ho  0.000  0.000  0.500
As  0.250  0.250  0.750
Se  0.000  0.024  0.746
Se  0.241  0.250  0.513

Principal peaks in the range 2θ from 10° to 80°, by angle:
| Position (°2θ) | I (rel.) |
| --- | --- |
| 13.10 | 11.5 |
| 13.26 | 30.5 |
| 25.27 | 11.1 |
| 30.74 | 100.0 |
| 43.63 | 11.8 |
| 44.02 | 47.5 |
| 44.47 | 12.1 |
| 54.29 | 11.8 |
| 55.01 | 12.3 |
| 72.67 | 19.2 |

***

The following is a simulated X-ray diffraction stick pattern of In17Sn12. It was derived from DFT lattice parameters and positions (PBE), using Cu Kα.
Kinematic intensities with the Lorentz-polarization factor, no thermal factor.

a b c (Å): 11.782 11.782 11.782
angles (deg): 90.00 90.00 90.00
Space group I-43m (No. 217)
One atom of each set of equivalent atoms:
In  0.000  0.000  0.000
In  0.050  0.360  0.360
In  0.172  0.172  0.828
Sn  0.093  0.093  0.287

Principal peaks in the range 2θ from 10° to 80°, by angle:
| Position (°2θ) | I (rel.) |
| --- | --- |
| 30.35 | 12.6 |
| 32.23 | 100.0 |
| 35.75 | 32.6 |
| 37.39 | 11.5 |
| 38.98 | 22.2 |
| 55.12 | 13.3 |
| 57.48 | 24.8 |
| 58.64 | 8.2 |
| 59.78 | 6.8 |
| 67.45 | 7.8 |

***

The following is a simulated X-ray diffraction stick pattern of Sr2Be. It was derived from DFT lattice parameters and positions (PBE), using Cu Kα.
Kinematic intensities with the Lorentz-polarization factor, no thermal factor.

a b c (Å): 7.737 7.737 7.737
angles (deg): 90.00 90.00 90.00
Space group Pa-3 (No. 205)
One atom of each set of equivalent atoms:
Sr  0.161  0.161  0.161
Be  0.000  0.000  0.500

Principal peaks in the range 2θ from 10° to 80°, by angle:
| Position (°2θ) | I (rel.) |
| --- | --- |
| 22.99 | 17.9 |
| 25.75 | 100.0 |
| 28.25 | 44.5 |
| 34.79 | 17.4 |
| 43.78 | 47.0 |
| 48.52 | 13.4 |
| 51.49 | 12.2 |
| 54.34 | 13.1 |
| 61.07 | 13.2 |
| 79.29 | 12.0 |

***

The following is a simulated X-ray diffraction stick pattern of TbSmMgCo. It was derived from DFT lattice parameters and positions (PBE), using Cu Kα.
Kinematic intensities with the Lorentz-polarization factor, no thermal factor.

a b c (Å): 3.445 3.445 8.144
angles (deg): 90.00 90.00 90.00
Space group P4mm (No. 99)
One atom of each set of equivalent atoms:
Tb  0.000  0.000  0.000
Sm  0.000  0.000  0.404
Mg  0.500  0.500  0.706
Co  0.500  0.500  0.196

Principal peaks in the range 2θ from 10° to 80°, by angle:
| Position (°2θ) | I (rel.) |
| --- | --- |
| 10.86 | 52.0 |
| 21.83 | 17.7 |
| 25.86 | 41.6 |
| 34.09 | 100.0 |
| 36.90 | 54.1 |
| 42.39 | 36.2 |
| 53.18 | 18.7 |
| 64.69 | 30.4 |
| 69.41 | 12.6 |
| 70.25 | 15.9 |

***

The following is a simulated X-ray diffraction stick pattern of La3DySb4. It was derived from DFT lattice parameters and positions (PBE), using Cu Kα.
Kinematic intensities with the Lorentz-polarization factor, no thermal factor.

a b c (Å): 7.907 9.145 7.913
angles (deg): 90.00 109.51 90.00
Space group P2/c (No. 13)
One atom of each set of equivalent atoms:
La  0.000  0.124  0.250
La  0.000  0.373  0.750
La  0.500  0.374  0.250
Dy  0.500  0.124  0.750
Sb  0.254  0.370  0.505
Sb  0.259  0.120  0.000

Principal peaks in the range 2θ from 10° to 80°, by angle:
| Position (°2θ) | I (rel.) |
| --- | --- |
| 23.86 | 1.3 |
| 27.61 | 100.0 |
| 39.45 | 76.6 |
| 46.63 | 0.8 |
| 48.83 | 27.4 |
| 57.02 | 12.8 |
| 64.50 | 29.3 |
| 64.56 | 5.8 |
| 71.53 | 19.4 |
| 71.62 | 6.4 |

***

The following is a simulated X-ray diffraction stick pattern of TiIr6Ru. It was derived from DFT lattice parameters and positions (PBE), using Cu Kα.
Kinematic intensities with the Lorentz-polarization factor, no thermal factor.

a b c (Å): 5.469 5.469 3.876
angles (deg): 90.00 90.00 90.00
Space group P4/mmm (No. 123)
One atom of each set of equivalent atoms:
Ti  0.000  0.000  0.000
Ir  0.000  0.500  0.000
Ir  0.253  0.253  0.500
Ru  0.500  0.500  0.000

Principal peaks in the range 2θ from 10° to 80°, by angle:
| Position (°2θ) | I (rel.) |
| --- | --- |
| 22.98 | 9.6 |
| 32.73 | 8.2 |
| 40.37 | 100.0 |
| 46.89 | 16.4 |
| 47.00 | 32.5 |
| 52.88 | 3.0 |
| 52.95 | 1.5 |
| 58.42 | 3.4 |
| 68.59 | 31.6 |
| 73.41 | 2.1 |

***

The following is a simulated X-ray diffraction stick pattern of K2LiS2O4F2. It was derived from DFT lattice parameters and positions (PBE), using Cu Kα.
Kinematic intensities with the Lorentz-polarization factor, no thermal factor.

a b c (Å): 4.643 6.710 7.749
angles (deg): 97.26 90.04 107.76
Space group P1 (No. 1)
One atom of each set of equivalent atoms:
K  0.000  0.000  0.000
K  0.291  0.515  0.772
Li  0.328  0.671  0.230
S  0.721  0.396  0.144
S  0.983  0.843  0.530
O  0.242  0.776  0.461
O  0.400  0.398  0.187
O  0.751  0.345  0.949
O  0.862  0.732  0.680
F  0.178  0.095  0.645
F  0.416  0.814  0.047

Principal peaks in the range 2θ from 10° to 80°, by angle:
| Position (°2θ) | I (rel.) |
| --- | --- |
| 11.52 | 60.5 |
| 16.92 | 45.4 |
| 23.19 | 68.5 |
| 25.48 | 64.3 |
| 27.95 | 47.8 |
| 28.74 | 38.8 |
| 29.23 | 42.0 |
| 30.39 | 100.0 |
| 31.98 | 44.4 |
| 38.83 | 39.2 |

***

The following is a simulated X-ray diffraction stick pattern of CuRu2Au. It was derived from DFT lattice parameters and positions (PBE), using Cu Kα.
Kinematic intensities with the Lorentz-polarization factor, no thermal factor.

a b c (Å): 2.7757 2.7757 26.5721
angles (deg): 90.00 90.00 120.00
Space group R3m (No. 160, hexagonal axes)
One atom of each set of equivalent atoms:
Cu  0.0000  0.0000  0.0000
Ru  0.0000  0.0000  0.2524
Ru  0.0000  0.0000  0.5102
Au  0.0000  0.0000  0.7508

Principal peaks in the range 2θ from 10° to 80°, by angle:
| Position (°2θ) | I (rel.) |
| --- | --- |
| 20.05 | 15.7 |
| 30.27 | 7.4 |
| 37.57 | 6.2 |
| 38.04 | 8.7 |
| 39.88 | 100.0 |
| 40.75 | 29.1 |
| 41.22 | 7.2 |
| 46.64 | 61.9 |
| 67.49 | 20.9 |
| 68.69 | 17.1 |

***

The following is a simulated X-ray diffraction stick pattern of Li2Ag8Sb. It was derived from DFT lattice parameters and positions (PBE), using Cu Kα.
Kinematic intensities with the Lorentz-polarization factor, no thermal factor.

a b c (Å): 14.834 4.237 6.554
angles (deg): 90.00 105.58 90.00
Space group C2/m (No. 12)
One atom of each set of equivalent atoms:
Li  0.225  0.000  0.149
Ag  0.047  0.000  0.220
Ag  0.098  0.500  0.962
Ag  0.145  0.000  0.700
Ag  0.184  0.500  0.411
Sb  0.000  0.500  0.500

Principal peaks in the range 2θ from 10° to 80°, by angle:
| Position (°2θ) | I (rel.) |
| --- | --- |
| 12.39 | 9.5 |
| 29.21 | 6.1 |
| 37.42 | 100.0 |
| 42.68 | 17.4 |
| 43.66 | 16.1 |
| 44.10 | 14.8 |
| 62.71 | 10.4 |
| 63.04 | 9.8 |
| 74.66 | 12.2 |
| 76.12 | 5.7 |

***

The following is a simulated X-ray diffraction stick pattern of SmB4C2. It was derived from DFT lattice parameters and positions (PBE), using Cu Kα.
Kinematic intensities with the Lorentz-polarization factor, no thermal factor.

a b c (Å): 6.088 6.088 4.421
angles (deg): 90.00 90.00 90.00
Space group P4_2/mnm (No. 136)
One atom of each set of equivalent atoms:
Sm  0.000  0.000  0.000
B  0.055  0.382  0.500
C  0.190  0.190  0.500

Principal peaks in the range 2θ from 10° to 80°, by angle:
| Position (°2θ) | I (rel.) |
| --- | --- |
| 20.63 | 65.8 |
| 24.89 | 100.0 |
| 29.34 | 38.5 |
| 38.85 | 87.6 |
| 41.97 | 17.5 |
| 46.16 | 17.8 |
| 47.21 | 20.4 |
| 49.42 | 18.9 |
| 58.51 | 17.6 |
| 66.80 | 17.9 |

***

The following is a simulated X-ray diffraction stick pattern of La2Cd5Ag3. It was derived from DFT lattice parameters and positions (PBE), using Cu Kα.
Kinematic intensities with the Lorentz-polarization factor, no thermal factor.

a b c (Å): 4.891 26.750 7.423
angles (deg): 90.00 90.00 90.00
Space group Cmc2_1 (No. 36)
One atom of each set of equivalent atoms:
La  0.000  0.017  0.000
La  0.000  0.326  0.942
Cd  0.000  0.106  0.669
Cd  0.000  0.203  0.118
Cd  0.000  0.212  0.726
Cd  0.000  0.376  0.491
Cd  0.000  0.448  0.807
Ag  0.000  0.107  0.274
Ag  0.000  0.271  0.415
Ag  0.000  0.449  0.205

Principal peaks in the range 2θ from 10° to 80°, by angle:
| Position (°2θ) | I (rel.) |
| --- | --- |
| 31.36 | 17.1 |
| 31.89 | 100.0 |
| 32.08 | 70.2 |
| 35.34 | 35.0 |
| 35.68 | 20.4 |
| 36.75 | 60.4 |
| 38.81 | 16.2 |
| 43.16 | 18.1 |
| 61.61 | 20.6 |
| 63.28 | 14.0 |

***

The following is a simulated X-ray diffraction stick pattern of Pr6AgSn3. It was derived from DFT lattice parameters and positions (PBE), using Cu Kα.
Kinematic intensities with the Lorentz-polarization factor, no thermal factor.

a b c (Å): 11.491 15.284 7.416
angles (deg): 90.00 90.00 90.00
Space group Cmc2_1 (No. 36)
One atom of each set of equivalent atoms:
Pr  0.000  0.046  0.000
Pr  0.000  0.299  0.031
Pr  0.186  0.297  0.559
Pr  0.220  0.453  0.201
Ag  0.000  0.159  0.676
Sn  0.000  0.456  0.489
Sn  0.138  0.124  0.340

Principal peaks in the range 2θ from 10° to 80°, by angle:
| Position (°2θ) | I (rel.) |
| --- | --- |
| 26.84 | 42.5 |
| 28.65 | 18.8 |
| 30.57 | 100.0 |
| 30.82 | 18.8 |
| 31.00 | 34.6 |
| 31.62 | 22.3 |
| 35.51 | 21.3 |
| 37.30 | 25.5 |
| 38.27 | 20.1 |
| 39.68 | 16.4 |